Simulated X-ray diffraction stick pattern of CdHgSe2 for Cu Kα X-rays, from a cell relaxed with PBE.
Peak positions follow from Bragg's law for the DFT cell and can differ from measured ones.

Structural model:
Cell: 4.4008 4.4008 7.1666 Å, 90.00 90.00 120.00°
Space group P3m1 (No. 156)
Symmetry-distinct sites (fractional):
1 Cd 0.0000 0.0000 0.0000 [1 per cell]
2 Hg 0.3333 0.6667 0.5022 [1 per cell]
3 Se 0.0000 0.0000 0.3754 [1 per cell]
4 Se 0.3333 0.6667 0.8806 [1 per cell]

Peak list (6 most intense, 10 to 90 degrees two-theta, by angle)
- (1 0 0), 2θ 23.34, rel. 100
- (0 0 2), 2θ 24.85, rel. 59
- (0 1 1), 2θ 26.49, rel. 98
- (1 1 0), 2θ 41.02, rel. 84
- (0 1 3), 2θ 44.77, rel. 85
- (1 1 2), 2θ 48.55, rel. 58

Simulated X-ray diffraction stick pattern of Tb2Cd3Hg3 for Cu Kα X-rays, from a cell relaxed with PBE.
Peak positions follow from Bragg's law for the DFT cell and can differ from measured ones.

Structural model:
Cell: 6.6309 6.6309 4.9345 Å, 90.00 90.00 120.00°
Space group P-6m2 (No. 187)
Symmetry-distinct sites (fractional):
1 Tb 0.0000 0.0000 0.0000 [1 per cell]
2 Tb 0.3333 0.6667 0.5000 [1 per cell]
3 Cd 0.3430 0.1715 0.5000 [3 per cell]
4 Hg 0.5017 0.0034 0.0000 [3 per cell]

Peak list (6 most intense, 10 to 90 degrees two-theta, by angle)
- (2 0 0), 2θ 31.15, rel. 27
- (2 0 1), 2θ 36.20, rel. 100
- (0 0 2), 2θ 36.41, rel. 22
- (2 2 0), 2θ 55.43, rel. 19
- (2 0 3), 2θ 65.39, rel. 18
- (2 2 2), 2θ 68.15, rel. 21